(1)
Structure and theoretical PXRD pattern of LaBPPt6 (a crystal structure in Alexandria, relaxed with GGA-PBE; copper Kα).
Kinematic intensities with the Lorentz-polarization factor, no thermal factor.

Structural model:
```
LaBPPt6
1.0
-3.783 3.972 5.550
3.783 -3.972 5.550
3.783 3.972 -5.550
La B P Pt
2 2 2 12
Cartesian
0.000 1.986 1.720
3.783 1.986 3.830
3.783 0.000 0.000
0.000 0.000 5.550
1.891 1.986 -2.775
1.891 -1.986 2.775
2.174 -0.210 1.365
5.391 -0.210 1.365
3.783 -1.986 4.079
3.783 1.986 0.793
2.174 3.762 -1.365
1.609 -0.210 4.185
2.174 4.182 1.365
1.609 0.210 6.915
0.000 1.986 4.757
0.000 5.958 1.471
-1.609 4.182 4.185
1.609 4.182 4.185
```

Most intense lines, 15 to 90 degrees two-theta, sorted by position:
2θ/deg	intensity
22.8	12.9
32.3	45.5
32.7	100.0
35.2	24.6
36.5	9.4
39.6	16.6
43.4	16.5
45.7	21.2
46.6	61.1
48.1	14.1
57.0	13.3
71.4	10.2

(2)
Structure and theoretical PXRD pattern of ScHgP3 (a crystal structure in Alexandria, relaxed with GGA-PBE; copper Kα).
Kinematic intensities with the Lorentz-polarization factor, no thermal factor.

Structural model:
```
ScHgP3
1.0
4.958 0.000 0.000
0.000 4.958 0.000
0.000 0.000 4.958
Sc Hg P
1 1 3
Cartesian
0.000 0.000 0.000
2.479 2.479 2.479
0.000 0.000 2.479
0.000 2.479 0.000
2.479 0.000 0.000
```

Most intense lines, 15 to 90 degrees two-theta, sorted by position:
2θ/deg	intensity
17.9	33.9
25.4	100.0
31.2	53.8
36.2	50.0
40.7	20.9
44.8	45.3
52.2	34.2
58.9	20.1
62.1	22.8
71.1	22.9
82.5	11.7
88.1	16.3

(3)
Structure and theoretical PXRD pattern of HoAs2Pd6 (a crystal structure in Alexandria, relaxed with GGA-PBE; copper Kα).
Kinematic intensities with the Lorentz-polarization factor, no thermal factor.

Structural model:
```
HoAs2Pd6
1.0
-2.141 3.658 5.214
2.141 -3.658 5.214
2.141 3.658 -5.214
Ho As Pd
1 2 6
Cartesian
0.000 0.000 0.000
0.000 0.000 3.136
0.000 0.000 7.293
2.141 -1.434 3.388
2.141 2.129 0.000
0.000 2.225 1.826
2.141 1.434 3.388
0.000 1.529 5.214
0.000 5.092 1.826
```

Most intense lines, 15 to 90 degrees two-theta, sorted by position:
2θ/deg	intensity
24.1	16.9
28.4	30.4
29.6	12.2
33.2	18.1
37.9	18.6
41.6	100.0
42.2	34.1
42.4	13.6
42.7	21.4
52.7	13.4
69.7	15.6
76.7	16.1

(4)
Structure and theoretical PXRD pattern of CaYF4 (a crystal structure in Alexandria, relaxed with GGA-PBE; copper Kα).
Kinematic intensities with the Lorentz-polarization factor, no thermal factor.

Structural model:
```
CaYF4
1.0
-3.637 3.637 3.815
3.637 -3.637 3.815
3.637 3.637 -3.815
Ca Y F
2 2 8
Cartesian
0.000 0.000 0.000
0.000 3.637 1.908
3.637 0.000 2.015
0.000 0.000 3.923
3.637 1.368 -0.015
2.270 3.637 -1.923
1.368 0.000 1.892
0.000 2.267 0.101
0.000 5.008 0.101
2.267 3.637 2.008
1.371 0.000 5.824
0.000 2.270 3.800
```

Most intense lines, 15 to 90 degrees two-theta, sorted by position:
2θ/deg	intensity
16.8	22.9
24.5	100.0
29.1	62.7
29.9	13.6
34.1	18.2
34.9	10.7
46.1	75.3
47.7	15.1
50.2	18.0
54.3	19.3
59.1	28.3
71.7	10.7

(5)
Structure and theoretical PXRD pattern of NdY14Tm (a crystal structure in Alexandria, relaxed with GGA-PBE; copper Kα).
Kinematic intensities with the Lorentz-polarization factor, no thermal factor.

Structural model:
```
NdY14Tm
1.0
7.149 0.000 0.000
0.000 7.149 0.000
0.000 0.000 10.076
Nd Y Tm
1 14 1
Cartesian
0.000 0.000 0.000
0.000 0.000 5.038
0.000 3.575 0.000
0.000 3.575 5.038
1.795 1.795 2.517
1.795 1.795 7.559
1.795 5.355 2.517
1.795 5.355 7.559
3.575 0.000 0.000
3.575 0.000 5.038
3.575 3.575 5.038
5.355 1.795 2.517
5.355 1.795 7.559
5.355 5.355 2.517
5.355 5.355 7.559
3.575 3.575 0.000
```

Most intense lines, 15 to 90 degrees two-theta, sorted by position:
2θ/deg	intensity
30.7	100.0
35.5	33.5
35.6	16.6
51.2	34.7
60.8	27.2
61.0	13.5
63.9	11.7
75.2	3.6
83.3	5.4
83.5	10.9
86.0	10.1
86.3	5.0

(6)
Structure and theoretical PXRD pattern of RbBa2Hg10 (a crystal structure in Alexandria, relaxed with GGA-PBE; copper Kα).
Kinematic intensities with the Lorentz-polarization factor, no thermal factor.

Structural model:
```
RbBa2Hg10
1.0
7.328 0.000 0.000
0.000 21.825 0.000
0.000 0.000 6.338
Rb Ba Hg
2 4 20
Cartesian
0.000 0.000 0.000
3.664 10.912 0.000
0.960 6.896 3.169
2.704 17.808 3.169
4.624 4.016 3.169
6.368 14.929 3.169
0.351 12.437 0.000
0.361 15.820 0.000
1.121 3.501 1.689
1.121 3.501 4.648
1.406 18.654 0.000
2.258 7.741 0.000
2.543 14.414 1.689
2.543 14.414 4.648
3.303 4.907 0.000
3.313 1.525 0.000
4.015 20.300 0.000
4.025 16.917 0.000
4.785 7.411 1.689
4.785 7.411 4.648
5.070 14.083 0.000
5.922 3.171 0.000
6.207 18.323 1.689
6.207 18.323 4.648
6.967 6.005 0.000
6.977 9.388 0.000
```

Most intense lines, 15 to 90 degrees two-theta, sorted by position:
2θ/deg	intensity
16.2	27.8
28.1	27.7
28.4	71.2
31.2	69.2
31.9	100.0
33.2	28.3
34.3	47.2
35.0	50.3
37.8	40.6
37.9	29.0
45.6	38.1
58.2	27.9

(7)
Structure and theoretical PXRD pattern of ZrCrAgS4 (a crystal structure in Alexandria, relaxed with GGA-PBE; copper Kα).
Kinematic intensities with the Lorentz-polarization factor, no thermal factor.

Structural model:
```
ZrCrAgS4
1.0
6.140 0.000 0.000
0.000 3.613 0.000
-0.191 0.000 6.551
Zr Cr Ag S
1 1 1 4
Cartesian
0.000 0.000 0.000
3.070 1.807 0.000
2.974 1.807 3.275
1.086 1.807 1.456
1.962 0.000 5.159
3.987 0.000 1.392
4.863 1.807 5.095
```

Most intense lines, 15 to 90 degrees two-theta, sorted by position:
2θ/deg	intensity
19.5	52.7
20.1	41.0
28.2	43.7
28.7	66.1
29.1	29.8
32.0	23.9
39.6	100.0
40.3	88.4
40.9	25.2
50.5	25.4
51.3	47.0
66.1	19.1

(8)
Structure and theoretical PXRD pattern of Ba2Cd5Pd5 (a crystal structure in Alexandria, relaxed with GGA-PBE; copper Kα).
Kinematic intensities with the Lorentz-polarization factor, no thermal factor.

Structural model:
```
Ba2Cd5Pd5
1.0
4.467 0.000 0.000
0.000 5.960 0.000
0.000 0.000 10.316
Ba Cd Pd
2 5 5
Cartesian
0.000 0.000 0.000
0.000 2.980 5.158
0.000 0.000 3.312
0.000 0.000 7.004
0.000 2.980 1.711
0.000 2.980 8.606
2.234 0.000 5.158
2.234 1.515 2.593
2.234 1.515 7.723
2.234 2.980 0.000
2.234 4.444 2.593
2.234 4.444 7.723
```

Most intense lines, 15 to 90 degrees two-theta, sorted by position:
2θ/deg	intensity
26.4	17.0
30.0	23.7
34.8	30.6
36.2	100.0
40.4	59.0
51.1	16.1
54.3	16.8
57.4	25.0
62.3	20.9
70.7	13.5
76.9	26.8
89.8	14.5